Structure and computed powder XRD pattern of Gd5Y3O12 (a PBE-relaxed structure; λ = 1.5418 Å (Cu Kα)).

Cell and atoms:
```
Gd5Y3O12
1.0
-5.400 5.401 5.404
5.400 -5.401 5.404
5.400 5.401 -5.404
Gd Y O
10 6 24
direct
0.032 0.750 0.782
0.218 0.468 0.750
0.250 0.282 0.032
0.282 0.032 0.250
0.468 0.250 0.718
0.532 0.750 0.282
0.717 0.967 0.750
0.750 0.218 0.468
0.783 0.533 0.250
0.968 0.250 0.218
0.000 0.999 0.499
0.001 0.501 0.001
0.250 0.783 0.533
0.499 0.501 0.501
0.500 0.999 0.999
0.750 0.717 0.967
0.011 0.238 0.469
0.029 0.769 0.042
0.044 0.534 0.271
0.228 0.987 0.458
0.231 0.262 0.273
0.237 0.227 0.768
0.263 0.031 0.989
0.269 0.542 0.031
0.272 0.731 0.760
0.456 0.727 0.490
0.471 0.513 0.740
0.489 0.958 0.227
0.509 0.040 0.772
0.532 0.490 0.263
0.542 0.273 0.511
0.727 0.268 0.237
0.732 0.460 0.969
0.738 0.966 0.010
0.762 0.773 0.229
0.768 0.737 0.728
0.773 0.010 0.541
0.958 0.469 0.732
0.968 0.232 0.959
0.991 0.763 0.531
```

The 12 most intense peaks (2θ = 15–90°), by angle:
2θ (°), Rel. int.
20.1, 13
28.6, 100
33.2, 32
35.2, 7
42.7, 11
47.6, 39
52.2, 7
56.5, 30
57.9, 8
59.3, 6
76.9, 8
79.3, 6